Computed XRD peak list of Mg8Tl2Pb for λ = 1.5418 Å (Cu Kα), from a structure optimized by DFT (PBE).

Atomic structure:
Unit cell a=16.472 b=4.573 c=7.362 alpha=90.00 beta=107.69 gamma=90.00
Space group C2/m (No. 12)
One atom of each set of equivalent atoms:
Mg (0.041, 0.000, 0.227)
Mg (0.092, 0.500, 0.961)
Mg (0.144, 0.000, 0.695)
Mg (0.180, 0.500, 0.415)
Tl (0.218, 0.000, 0.153)
Pb (0.000, 0.500, 0.500)

Main lines, by intensity (5° ≤ 2θ ≤ 70°):
22.97 deg, intensity 100, (1 1 -1); 34.05 deg, intensity 97, (1 1 2); 33.78 deg, intensity 94, (5 1 -1); 19.37 deg, intensity 65, (2 0 1); 25.88 deg, intensity 43, (3 1 0); 39.40 deg, intensity 39, (0 2 0); 22.66 deg, intensity 36, (4 0 0); 14.15 deg, intensity 34, (2 0 -1); 40.29 deg, intensity 33, (6 0 1); 24.45 deg, intensity 31, (2 0 -2)


Computed XRD peak list of Ac3Ta2N5O2 for λ = 1.5418 Å (Cu Kα), from a structure optimized by DFT (PBE).

Atomic structure:
Unit cell a=4.129 b=4.129 c=21.399 alpha=90.00 beta=90.00 gamma=90.00
Space group I4/mmm (No. 139)
One atom of each set of equivalent atoms:
Ac (0.000, 0.000, 0.000)
Ac (0.000, 0.000, 0.181)
Ta (0.000, 0.000, 0.406)
N (0.000, 0.000, 0.500)
N (0.000, 0.500, 0.102)
O (0.000, 0.000, 0.299)

Main lines, by intensity (5° ≤ 2θ ≤ 70°):
30.07 deg, intensity 100, (1 0 5); 30.62 deg, intensity 62, (1 1 0); 54.09 deg, intensity 41, (2 1 5); 43.86 deg, intensity 33, (2 0 0); 53.06 deg, intensity 14, (1 1 10); 63.77 deg, intensity 12, (2 2 0); 36.57 deg, intensity 11, (1 0 7); 62.51 deg, intensity 10, (2 0 10); 42.23 deg, intensity 8, (0 0 10); 60.87 deg, intensity 8, (1 1 12)


Computed XRD peak list of La12Sm2Ho5 for λ = 1.5418 Å (Cu Kα), from a structure optimized by DFT (PBE).

Atomic structure:
Unit cell a=13.320 b=11.833 c=9.565 alpha=90.00 beta=117.14 gamma=90.00
Space group C2/m (No. 12)
One atom of each set of equivalent atoms:
La (0.063, 0.000, 0.275)
La (0.099, 0.500, 0.421)
La (0.104, 0.240, 0.906)
La (0.214, 0.239, 0.312)
Sm (0.000, 0.214, 0.500)
Ho (0.000, 0.500, 0.000)
Ho (0.196, 0.000, 0.732)
Ho (0.218, 0.500, 0.862)

Main lines, by intensity (5° ≤ 2θ ≤ 70°):
30.98 deg, intensity 100, (4 2 -1); 30.20 deg, intensity 59, (0 4 0); 31.89 deg, intensity 39, (2 2 -3); 34.11 deg, intensity 17, (1 3 2); 26.37 deg, intensity 16, (1 1 2); 43.81 deg, intensity 15, (2 4 2); 54.16 deg, intensity 13, (4 6 -1); 54.51 deg, intensity 9, (6 2 1); 56.27 deg, intensity 9, (6 4 -4); 48.65 deg, intensity 8, (3 5 -3)